1.
SrCa9La4: computed X-ray powder pattern (Cu Ka), based on DFT lattice parameters and positions (PBE).
Lines closer than 0.1° are merged.

Structure:
```
SrCa9La4
1.0
10.759 0.000 0.000
-5.379 9.317 0.000
0.000 0.000 12.085
Sr Ca La
2 18 8
direct
0.333 0.667 0.250
0.667 0.333 0.750
0.087 0.543 0.750
0.202 0.405 0.026
0.202 0.405 0.474
0.202 0.798 0.026
0.202 0.798 0.474
0.405 0.202 0.526
0.405 0.202 0.974
0.457 0.543 0.750
0.457 0.913 0.750
0.543 0.087 0.250
0.543 0.457 0.250
0.595 0.798 0.026
0.595 0.798 0.474
0.798 0.202 0.526
0.798 0.202 0.974
0.798 0.595 0.526
0.798 0.595 0.974
0.913 0.457 0.250
0.000 0.000 0.000
0.000 0.000 0.500
0.100 0.200 0.750
0.100 0.900 0.750
0.200 0.100 0.250
0.800 0.900 0.750
0.900 0.100 0.250
0.900 0.800 0.250
```

The 10 most intense peaks (2θ = 10–90°), by intensity:
2θ/deg, d/Å, I_rel
29.35, 3.044, 100
29.70, 3.008, 38
29.57, 3.021, 27
41.53, 2.174, 22
35.52, 2.527, 21
20.43, 4.347, 20
60.01, 1.542, 18
36.54, 2.459, 16
16.48, 5.379, 16
47.68, 1.907, 15

=====

2.
TlHgHO: computed X-ray powder pattern (Cu Ka), based on DFT lattice parameters and positions (PBE).
Lines closer than 0.1° are merged.

Structure:
```
TlHgHO
1.0
14.332 0.000 0.000
0.000 3.543 0.000
-0.801 0.000 3.449
Tl Hg H O
2 2 2 2
direct
0.000 0.000 0.000
0.500 0.500 0.000
0.295 0.000 0.309
0.795 0.500 0.309
0.141 0.500 0.628
0.641 0.000 0.628
0.071 0.500 0.566
0.571 0.000 0.566
```

The 10 most intense peaks (2θ = 10–90°), by intensity:
2θ/deg, d/Å, I_rel
31.74, 2.819, 100
35.86, 2.504, 89
25.52, 3.490, 71
25.95, 3.434, 58
31.42, 2.847, 53
32.09, 2.789, 47
44.86, 2.020, 34
44.19, 2.049, 32
26.10, 3.414, 32
51.62, 1.771, 31

=====

3.
InAgPd6: computed X-ray powder pattern (Cu Ka), based on DFT lattice parameters and positions (PBE).
Lines closer than 0.1° are merged.

Structure:
```
InAgPd6
1.0
5.691 0.000 0.000
-2.846 4.929 0.000
0.000 0.000 4.633
In Ag Pd
1 1 6
direct
0.000 0.000 0.000
0.333 0.667 0.500
0.337 0.169 0.500
0.501 0.002 0.000
0.501 0.499 0.000
0.831 0.169 0.500
0.831 0.663 0.500
0.998 0.499 0.000
```

The 10 most intense peaks (2θ = 10–90°), by intensity:
2θ/deg, d/Å, I_rel
41.50, 2.176, 100
38.87, 2.317, 27
36.46, 2.464, 24
78.97, 1.212, 19
72.18, 1.309, 19
65.62, 1.423, 17
54.35, 1.688, 15
80.69, 1.191, 14
83.45, 1.158, 3
77.46, 1.232, 3

=====

4.
TbTmGeRu: computed X-ray powder pattern (Cu Ka), based on DFT lattice parameters and positions (PBE).
Lines closer than 0.1° are merged.

Structure:
```
TbTmGeRu
1.0
3.842 0.000 0.000
0.000 4.220 0.000
0.000 0.000 10.840
Tb Tm Ge Ru
2 2 2 2
direct
0.000 0.000 0.000
0.000 0.500 0.500
0.500 0.000 0.718
0.500 0.500 0.218
0.500 0.000 0.421
0.500 0.500 0.921
0.000 0.000 0.267
0.000 0.500 0.767
```

The 10 most intense peaks (2θ = 10–90°), by intensity:
2θ/deg, d/Å, I_rel
32.59, 2.747, 100
40.39, 2.233, 37
33.05, 2.710, 21
42.86, 2.110, 19
47.32, 1.921, 14
40.74, 2.215, 14
28.48, 3.134, 13
58.66, 1.574, 11
65.74, 1.420, 10
72.03, 1.311, 10

=====

5.
Zr2MoPt: computed X-ray powder pattern (Cu Ka), based on DFT lattice parameters and positions (PBE).
Lines closer than 0.1° are merged.

Structure:
```
Zr2MoPt
1.0
3.679 0.000 0.000
0.000 3.679 0.000
0.000 0.000 5.806
Zr Mo Pt
2 1 1
direct
0.000 0.000 0.000
0.500 0.500 0.336
0.000 0.000 0.498
0.500 0.500 0.825
```

The 10 most intense peaks (2θ = 10–90°), by intensity:
2θ/deg, d/Å, I_rel
39.55, 2.279, 100
34.48, 2.601, 94
65.18, 1.431, 45
49.56, 1.839, 33
46.90, 1.937, 22
69.64, 1.350, 17
30.80, 2.903, 17
83.02, 1.163, 15
28.73, 3.107, 14
15.26, 5.806, 13

=====

6.
Sr2CaCd4: computed X-ray powder pattern (Cu Ka), based on DFT lattice parameters and positions (PBE).
Lines closer than 0.1° are merged.

Structure:
```
Sr2CaCd4
1.0
2.750 1.588 9.263
-2.750 1.588 9.263
0.000 -3.176 9.263
Sr Ca Cd
2 1 4
direct
0.247 0.247 0.247
0.753 0.753 0.753
0.000 0.000 0.000
0.126 0.126 0.126
0.367 0.367 0.367
0.633 0.633 0.633
0.874 0.874 0.874
```

The 10 most intense peaks (2θ = 10–90°), by intensity:
2θ/deg, d/Å, I_rel
32.56, 2.750, 100
31.89, 2.807, 100
57.67, 1.598, 35
46.22, 1.964, 35
22.63, 3.929, 30
19.70, 4.506, 19
58.10, 1.588, 18
56.39, 1.632, 16
77.27, 1.235, 14
76.16, 1.250, 13

=====

7.
LiZn2Ag7Sb2: computed X-ray powder pattern (Cu Ka), based on DFT lattice parameters and positions (PBE).
Lines closer than 0.1° are merged.

Structure:
```
LiZn2Ag7Sb2
1.0
2.978 -2.999 0.000
2.978 2.999 0.000
-0.041 0.000 12.840
Li Zn Ag Sb
1 2 7 2
direct
0.000 0.000 0.000
0.500 0.500 0.311
0.500 0.500 0.689
0.001 0.500 0.152
0.266 0.266 0.500
0.500 0.001 0.152
0.500 0.500 0.000
0.500 0.999 0.848
0.734 0.734 0.500
0.999 0.500 0.848
0.001 0.001 0.316
0.999 0.999 0.684
```

The 10 most intense peaks (2θ = 10–90°), by intensity:
2θ/deg, d/Å, I_rel
36.71, 2.448, 100
36.82, 2.441, 100
36.59, 2.456, 74
30.61, 2.920, 69
41.20, 2.191, 55
42.79, 2.113, 54
42.23, 2.140, 54
45.17, 2.007, 46
43.40, 2.085, 38
25.23, 3.530, 30

=====

8.
Ac6Ru3Br2: computed X-ray powder pattern (Cu Ka), based on DFT lattice parameters and positions (PBE).
Lines closer than 0.1° are merged.

Structure:
```
Ac6Ru3Br2
1.0
3.734 -6.461 0.000
3.734 6.461 0.000
-2.529 0.000 8.294
Ac Ru Br
6 3 2
direct
0.060 0.399 0.192
0.264 0.264 0.811
0.399 0.060 0.192
0.601 0.940 0.808
0.736 0.736 0.189
0.940 0.601 0.808
0.000 0.000 0.000
0.330 0.670 0.000
0.670 0.330 0.000
0.165 0.835 0.500
0.835 0.165 0.500
```

The 10 most intense peaks (2θ = 10–90°), by intensity:
2θ/deg, d/Å, I_rel
27.91, 3.196, 100
10.67, 8.294, 64
41.93, 2.155, 60
27.81, 3.208, 50
24.91, 3.575, 46
51.10, 1.787, 29
34.90, 2.571, 27
37.60, 2.392, 25
46.92, 1.936, 19
29.92, 2.986, 18

=====

9.
Ca3Si6Pt20: computed X-ray powder pattern (Cu Ka), based on DFT lattice parameters and positions (PBE).
Lines closer than 0.1° are merged.

Structure:
```
Ca3Si6Pt20
1.0
0.000 6.185 6.185
6.185 0.000 6.185
6.185 6.185 0.000
Ca Si Pt
3 6 20
direct
0.000 0.000 0.000
0.250 0.250 0.250
0.750 0.750 0.750
0.267 0.267 0.733
0.267 0.733 0.267
0.267 0.733 0.733
0.733 0.267 0.267
0.733 0.267 0.733
0.733 0.733 0.267
0.000 0.000 0.346
0.000 0.000 0.654
0.000 0.346 0.000
0.000 0.346 0.654
0.000 0.654 0.000
0.000 0.654 0.346
0.154 0.615 0.615
0.346 0.000 0.000
0.346 0.000 0.654
0.346 0.654 0.000
0.385 0.385 0.385
0.385 0.385 0.846
0.385 0.846 0.385
0.615 0.154 0.615
0.615 0.615 0.154
0.615 0.615 0.615
0.654 0.000 0.000
0.654 0.000 0.346
0.654 0.346 0.000
0.846 0.385 0.385
```

The 10 most intense peaks (2θ = 10–90°), by intensity:
2θ/deg, d/Å, I_rel
37.79, 2.380, 100
43.27, 2.091, 44
63.86, 1.458, 21
32.37, 2.766, 18
43.92, 2.062, 17
20.31, 4.373, 15
41.29, 2.187, 15
65.33, 1.428, 13
75.28, 1.262, 13
67.76, 1.383, 13

=====

10.
Dy2Zn2FeNi5: computed X-ray powder pattern (Cu Ka), based on DFT lattice parameters and positions (PBE).
Lines closer than 0.1° are merged.

Structure:
```
Dy2Zn2FeNi5
1.0
9.268 0.000 0.000
0.000 9.268 0.000
0.000 0.000 3.484
Dy Zn Fe Ni
4 4 2 10
direct
0.176 0.324 0.000
0.324 0.824 0.000
0.676 0.176 0.000
0.824 0.676 0.000
0.122 0.622 0.000
0.378 0.122 0.000
0.622 0.878 0.000
0.878 0.378 0.000
0.000 0.000 0.000
0.500 0.500 0.000
0.000 0.500 0.500
0.055 0.806 0.500
0.194 0.055 0.500
0.306 0.555 0.500
0.445 0.306 0.500
0.500 0.000 0.500
0.555 0.694 0.500
0.694 0.445 0.500
0.806 0.945 0.500
0.945 0.194 0.500
```

The 10 most intense peaks (2θ = 10–90°), by intensity:
2θ/deg, d/Å, I_rel
40.17, 2.245, 100
43.75, 2.069, 24
41.33, 2.185, 21
33.60, 2.667, 19
37.69, 2.387, 15
68.09, 1.377, 15
52.53, 1.742, 15
32.14, 2.785, 13
47.10, 1.929, 9
68.95, 1.362, 9

=====

11.
Rb2TaTiO6: computed X-ray powder pattern (Cu Ka), based on DFT lattice parameters and positions (PBE).
Lines closer than 0.1° are merged.

Structure:
```
Rb2TaTiO6
1.0
2.984 1.723 9.653
-2.984 1.723 9.653
0.000 -3.445 9.653
Rb Ta Ti O
4 2 2 12
direct
0.132 0.132 0.132
0.282 0.282 0.282
0.718 0.718 0.718
0.868 0.868 0.868
0.402 0.402 0.402
0.598 0.598 0.598
0.000 0.000 0.000
0.500 0.500 0.500
0.173 0.595 0.595
0.203 0.203 0.708
0.203 0.708 0.203
0.292 0.797 0.797
0.405 0.405 0.827
0.405 0.827 0.405
0.595 0.173 0.595
0.595 0.595 0.173
0.708 0.203 0.203
0.797 0.292 0.797
0.797 0.797 0.292
0.827 0.405 0.405
```

The 10 most intense peaks (2θ = 10–90°), by intensity:
2θ/deg, d/Å, I_rel
29.95, 2.984, 100
41.22, 2.190, 49
27.62, 3.230, 42
17.43, 5.088, 38
56.79, 1.621, 23
47.12, 1.929, 20
53.17, 1.723, 19
62.23, 1.492, 19
21.12, 4.206, 18
30.14, 2.965, 18

=====

12.
Sc2Cd5Cu: computed X-ray powder pattern (Cu Ka), based on DFT lattice parameters and positions (PBE).
Lines closer than 0.1° are merged.

Structure:
```
Sc2Cd5Cu
1.0
2.417 1.396 8.208
-2.417 1.396 8.208
0.000 -2.791 8.208
Sc Cd Cu
2 5 1
direct
0.121 0.121 0.121
0.879 0.879 0.879
0.249 0.249 0.249
0.372 0.372 0.372
0.500 0.500 0.500
0.628 0.628 0.628
0.751 0.751 0.751
0.000 0.000 0.000
```

The 10 most intense peaks (2θ = 10–90°), by intensity:
2θ/deg, d/Å, I_rel
36.22, 2.480, 100
37.20, 2.417, 94
52.89, 1.731, 32
66.43, 1.407, 31
64.52, 1.444, 19
67.07, 1.396, 15
88.66, 1.103, 15
21.53, 4.127, 13
76.89, 1.240, 10
79.27, 1.209, 9